(1)
This entry pairs a crystal structure of La16Er6Tm7 with its simulated powder diffraction line list. Radiation: Cu Kα (weighted mean of Kα1 and Kα2). Structure: the PBE geometry in Alexandria.

a = 11.420 Å, b = 11.420 Å, c = 11.420 Å
α = 60.00°, β = 60.00°, γ = 60.00°
Positions (direct):
La: 0.061 0.646 0.646
La: 0.125 0.125 0.125
La: 0.125 0.125 0.624
La: 0.125 0.624 0.125
La: 0.354 0.354 0.354
La: 0.354 0.354 0.939
La: 0.354 0.939 0.354
La: 0.376 0.875 0.875
La: 0.624 0.125 0.125
La: 0.646 0.061 0.646
La: 0.646 0.646 0.061
La: 0.646 0.646 0.646
La: 0.875 0.376 0.875
La: 0.875 0.875 0.376
La: 0.875 0.875 0.875
La: 0.939 0.354 0.354
Er: 0.257 0.257 0.743
Er: 0.257 0.743 0.257
Er: 0.257 0.743 0.743
Er: 0.743 0.257 0.257
Er: 0.743 0.257 0.743
Er: 0.743 0.743 0.257
Tm: 0.000 0.000 0.000
Tm: 0.000 0.000 0.500
Tm: 0.000 0.500 0.000
Tm: 0.000 0.500 0.500
Tm: 0.500 0.000 0.000
Tm: 0.500 0.000 0.500
Tm: 0.500 0.500 0.000

Most intense lines, 2θ from 5° to 70°, low angle first:
2theta	I (rel.)
9.5	4
15.5	6
27.0	6
28.7	4
31.3	100
44.9	16
55.8	31
65.4	9

***

(2)
This entry pairs a crystal structure of Al2Zn3Pd3 with its simulated powder diffraction line list. Radiation: Cu Kα (weighted mean of Kα1 and Kα2). Structure: the PBE geometry in Alexandria.

a = 6.986 Å, b = 6.986 Å, c = 2.841 Å
α = 90.00°, β = 90.00°, γ = 120.00°
Positions (direct):
Al: 0.333 0.667 0.000
Al: 0.667 0.333 0.000
Zn: 0.000 0.235 0.000
Zn: 0.235 0.000 0.000
Zn: 0.765 0.765 0.000
Pd: 0.000 0.620 0.500
Pd: 0.380 0.380 0.500
Pd: 0.620 0.000 0.500

Most intense lines, 2θ from 5° to 70°, low angle first:
2theta	I (rel.)
25.5	42
34.9	11
39.4	56
40.9	100
43.7	23
44.9	25
52.4	11
64.5	18

***

(3)
This entry pairs a crystal structure of PuZn10Cd2 with its simulated powder diffraction line list. Radiation: Cu Kα (weighted mean of Kα1 and Kα2). Structure: the PBE geometry in Alexandria.

a = 9.091 Å, b = 7.033 Å, c = 6.945 Å
α = 81.14°, β = 49.86°, γ = 49.01°
Positions (direct):
Pu: 0.000 0.000 0.000
Zn: 0.000 0.000 0.500
Zn: 0.013 0.643 0.357
Zn: 0.288 0.509 0.491
Zn: 0.357 0.987 0.013
Zn: 0.491 0.712 0.288
Zn: 0.500 0.500 0.000
Zn: 0.509 0.288 0.712
Zn: 0.643 0.013 0.987
Zn: 0.712 0.491 0.509
Zn: 0.987 0.357 0.643
Cd: 0.000 0.500 0.000
Cd: 0.500 0.000 0.500

Most intense lines, 2θ from 5° to 70°, low angle first:
2theta	I (rel.)
13.9	14
27.2	15
27.4	18
31.0	18
33.8	47
38.3	87
39.1	42
39.6	100

***

(4)
This entry pairs a crystal structure of Sr2ThBr8 with its simulated powder diffraction line list. Radiation: Cu Kα (weighted mean of Kα1 and Kα2). Structure: the PBE geometry in Alexandria.

a = 8.629 Å, b = 8.629 Å, c = 8.034 Å
α = 91.71°, β = 91.71°, γ = 47.97°
Positions (direct):
Sr: 0.138 0.138 0.043
Sr: 0.862 0.862 0.957
Th: 0.000 0.000 0.500
Br: 0.175 0.175 0.425
Br: 0.226 0.720 0.225
Br: 0.280 0.774 0.775
Br: 0.309 0.309 0.915
Br: 0.691 0.691 0.085
Br: 0.720 0.226 0.225
Br: 0.774 0.280 0.775
Br: 0.825 0.825 0.575

Most intense lines, 2θ from 5° to 70°, low angle first:
2theta	I (rel.)
11.2	53
13.8	100
24.8	48
26.4	52
30.2	46
32.8	38
33.9	73
35.8	39

***

(5)
This entry pairs a crystal structure of CrNi6Rh with its simulated powder diffraction line list. Radiation: Cu Kα (weighted mean of Kα1 and Kα2). Structure: the PBE geometry in Alexandria.

a = 5.072 Å, b = 5.072 Å, c = 4.137 Å
α = 90.00°, β = 90.00°, γ = 120.00°
Positions (direct):
Cr: 0.000 0.000 0.000
Ni: 0.005 0.502 0.000
Ni: 0.168 0.336 0.500
Ni: 0.168 0.832 0.500
Ni: 0.498 0.502 0.000
Ni: 0.498 0.995 0.000
Ni: 0.664 0.832 0.500
Rh: 0.667 0.333 0.500

Most intense lines, 2θ from 5° to 70°, low angle first:
2theta	I (rel.)
20.2	4
21.5	2
29.7	2
41.1	25
41.8	2
43.8	27
46.8	100
61.6	14

***

(6)
This entry pairs a crystal structure of CoNi2Ir5 with its simulated powder diffraction line list. Radiation: Cu Kα (weighted mean of Kα1 and Kα2). Structure: the PBE geometry in Alexandria.

a = 5.325 Å, b = 5.325 Å, c = 5.325 Å
α = 119.74°, β = 119.74°, γ = 90.45°
Positions (direct):
Co: 0.000 0.000 0.000
Ni: 0.000 0.500 0.500
Ni: 0.500 0.000 0.500
Ir: 0.000 0.000 0.500
Ir: 0.000 0.500 0.000
Ir: 0.500 0.000 0.000
Ir: 0.500 0.500 0.000
Ir: 0.500 0.500 0.500

Most intense lines, 2θ from 5° to 70°, low angle first:
2theta	I (rel.)
20.4	7
23.7	11
33.5	10
41.5	100
48.1	33
48.5	16
54.3	6
60.3	4

***

(7)
This entry pairs a crystal structure of HoEr2TmTl4 with its simulated powder diffraction line list. Radiation: Cu Kα (weighted mean of Kα1 and Kα2). Structure: the PBE geometry in Alexandria.

a = 9.253 Å, b = 9.253 Å, c = 9.253 Å
α = 33.46°, β = 33.46°, γ = 33.46°
Positions (direct):
Ho: 0.000 0.000 0.000
Er: 0.250 0.250 0.250
Er: 0.750 0.750 0.750
Tm: 0.500 0.500 0.500
Tl: 0.125 0.125 0.125
Tl: 0.375 0.375 0.375
Tl: 0.625 0.625 0.625
Tl: 0.875 0.875 0.875

Most intense lines, 2θ from 5° to 70°, low angle first:
2theta	I (rel.)
23.6	1
33.6	100
48.3	18
60.0	10
60.1	29

***

(8)
This entry pairs a crystal structure of Tm3Ga4Au4 with its simulated powder diffraction line list. Radiation: Cu Kα (weighted mean of Kα1 and Kα2). Structure: the PBE geometry in Alexandria.

a = 3.504 Å, b = 4.487 Å, c = 14.334 Å
α = 98.95°, β = 96.93°, γ = 90.02°
Positions (direct):
Tm: 0.000 0.000 0.000
Tm: 0.142 0.640 0.284
Tm: 0.858 0.360 0.716
Ga: 0.260 0.262 0.522
Ga: 0.406 0.907 0.812
Ga: 0.594 0.093 0.188
Ga: 0.740 0.738 0.478
Au: 0.315 0.816 0.628
Au: 0.452 0.451 0.901
Au: 0.548 0.549 0.099
Au: 0.685 0.184 0.372

Most intense lines, 2θ from 5° to 70°, low angle first:
2theta	I (rel.)
33.1	59
34.0	68
34.9	100
40.2	55
40.6	93
52.2	26
53.6	37
68.2	31